Entry 1:
# BaErAuO4
Simulated powder XRD pattern, Cu Kα (λ = 1.5418 Å). Input: a cell relaxed with PBE.
Intensities are scaled so that the largest is 100.

Top 8 peaks for 2θ from 10° to 90°, in order of falling intensity:
2θ (°), d (Å), I/Imax, index
27.5, 3.240, 100.0, 1 1 2
30.7, 2.911, 78.3, 1 3 0
26.3, 3.384, 72.4, 2 0 0
39.6, 2.277, 34.8, 2 2 2
32.7, 2.735, 31.2, 1 3 1
55.8, 1.647, 28.6, 1 3 4
22.3, 3.993, 23.4, 0 0 2
29.0, 3.079, 23.3, 0 2 2

Structural model:
```
data_BaErAuO4
_cell_length_a 6.767
_cell_length_b 9.673
_cell_length_c 7.987
_cell_angle_alpha 90.00
_cell_angle_beta 90.00
_cell_angle_gamma 90.00
_symmetry_space_group_name_H-M 'C m c m'
_symmetry_Int_Tables_number 63
_symmetry_space_group_name_Hall '-C 2c 2'
loop_
_atom_site_label
_atom_site_type_symbol
_atom_site_fract_x
_atom_site_fract_y
_atom_site_fract_z
Ba1 Ba 0.000 0.000 0.000
Er1 Er 0.000 0.373 0.250
Au1 Au 0.000 0.304 0.750
O1 O 0.000 0.286 0.502
O2 O 0.241 0.491 0.750
```


Entry 2:
# BaEr4Au3O12
Simulated powder XRD pattern, Cu Kα (λ = 1.5418 Å). Input: a cell relaxed with PBE.
Intensities are scaled so that the largest is 100.

Top 8 peaks for 2θ from 10° to 90°, in order of falling intensity:
2θ (°), d (Å), I/Imax, index
30.5, 2.933, 100.0, 2 2 0
54.2, 1.693, 46.5, 4 2 2
88.1, 1.109, 22.7, 6 4 2
43.6, 2.074, 21.3, 4 0 0
72.0, 1.312, 18.7, 6 0 2
63.4, 1.467, 13.1, 4 4 0
80.2, 1.197, 4.8, 4 4 4
26.3, 3.387, 1.4, 2 1 1

Structural model:
```
data_BaEr4Au3O12
_cell_length_a 8.296
_cell_length_b 8.296
_cell_length_c 8.296
_cell_angle_alpha 90.00
_cell_angle_beta 90.00
_cell_angle_gamma 90.00
_symmetry_space_group_name_H-M 'I m -3'
_symmetry_Int_Tables_number 204
_symmetry_space_group_name_Hall '-I 2 2 3'
loop_
_atom_site_label
_atom_site_type_symbol
_atom_site_fract_x
_atom_site_fract_y
_atom_site_fract_z
Ba1 Ba 0.000 0.000 0.000
Er1 Er 0.250 0.250 0.250
Au1 Au 0.000 0.000 0.500
O1 O 0.000 0.162 0.315
```


Entry 3:
# BaEuSnAu
Simulated powder XRD pattern, Cu Kα (λ = 1.5418 Å). Input: a cell relaxed with PBE.
Intensities are scaled so that the largest is 100.

Top 8 peaks for 2θ from 10° to 90°, in order of falling intensity:
2θ (°), d (Å), I/Imax, index
31.5, 2.836, 100.0, 2 2 0
56.2, 1.638, 39.4, 4 2 2
45.2, 2.006, 18.6, 4 0 0
74.9, 1.268, 17.2, 6 2 0
65.9, 1.418, 12.3, 4 4 0
83.5, 1.158, 4.4, 4 4 4
19.2, 4.632, 3.7, 1 1 1
37.2, 2.419, 2.2, 3 1 1

Structural model:
```
data_BaEuSnAu
_cell_length_a 8.022
_cell_length_b 8.022
_cell_length_c 8.022
_cell_angle_alpha 90.00
_cell_angle_beta 90.00
_cell_angle_gamma 90.00
_symmetry_space_group_name_H-M 'F -4 3 m'
_symmetry_Int_Tables_number 216
_symmetry_space_group_name_Hall 'F -4 2 3'
loop_
_atom_site_label
_atom_site_type_symbol
_atom_site_fract_x
_atom_site_fract_y
_atom_site_fract_z
Ba1 Ba 0.000 0.000 0.000
Eu1 Eu 0.000 0.000 0.500
Sn1 Sn 0.250 0.250 0.250
Au1 Au 0.250 0.250 0.750
```


Entry 4:
# Ba8Au2F
Simulated powder XRD pattern, Cu Kα (λ = 1.5418 Å). Input: a cell relaxed with PBE.
Intensities are scaled so that the largest is 100.

Top 8 peaks for 2θ from 10° to 90°, in order of falling intensity:
2θ (°), d (Å), I/Imax, index
22.9, 3.879, 100.0, 2 2 0
26.0, 3.429, 90.3, 0 0 2
25.7, 3.464, 54.0, 5 1 0
34.6, 2.589, 41.7, 2 2 -2
35.2, 2.549, 38.7, 2 2 2
17.1, 5.179, 34.0, 1 1 -1
34.8, 2.581, 33.9, 7 1 0
17.4, 5.090, 32.1, 1 1 1

Structural model:
```
data_Ba8Au2F
_cell_length_a 18.978
_cell_length_b 8.501
_cell_length_c 6.863
_cell_angle_alpha 90.00
_cell_angle_beta 92.21
_cell_angle_gamma 90.00
_symmetry_space_group_name_H-M 'C 1 2/m 1'
_symmetry_Int_Tables_number 12
loop_
_symmetry_equiv_pos_as_xyz
'x,y,z'
'-x,-y,-z'
'-x,y,-z'
'x,-y,z'
'x+1/2,y+1/2,z'
'-x+1/2,-y+1/2,-z'
'-x+1/2,y+1/2,-z'
'x+1/2,-y+1/2,z'
loop_
_atom_site_label
_atom_site_type_symbol
_atom_site_fract_x
_atom_site_fract_y
_atom_site_fract_z
Ba1 Ba 0.065 0.225 0.235
Ba2 Ba 0.131 0.500 0.745
Ba3 Ba 0.214 0.000 0.745
Au1 Au 0.203 0.000 0.246
F1 F 0.000 0.000 0.000
```


Entry 5:
# BaAu2F12
Simulated powder XRD pattern, Cu Kα (λ = 1.5418 Å). Input: a cell relaxed with PBE.
Intensities are scaled so that the largest is 100.

Top 8 peaks for 2θ from 10° to 90°, in order of falling intensity:
2θ (°), d (Å), I/Imax, index
23.7, 3.752, 100.0, 2 2 0
41.7, 2.166, 45.1, 4 2 2
16.7, 5.306, 42.5, 2 0 0
65.9, 1.418, 24.4, 6 4 2
54.7, 1.678, 20.2, 6 2 0
48.5, 1.876, 18.7, 4 4 0
76.1, 1.251, 12.3, 6 6 0
33.8, 2.653, 10.0, 4 0 0

Structural model:
```
data_BaAu2F12
_cell_length_a 10.611
_cell_length_b 10.611
_cell_length_c 10.611
_cell_angle_alpha 90.00
_cell_angle_beta 90.00
_cell_angle_gamma 90.00
_symmetry_space_group_name_H-M 'P m -3 m'
_symmetry_Int_Tables_number 221
_symmetry_space_group_name_Hall '-P 4 2 3'
loop_
_atom_site_label
_atom_site_type_symbol
_atom_site_fract_x
_atom_site_fract_y
_atom_site_fract_z
Ba1 Ba 0.000 0.000 0.000
Ba2 Ba 0.000 0.000 0.500
Au1 Au 0.250 0.250 0.250
F1 F 0.124 0.124 0.308
F2 F 0.185 0.369 0.369
```


Entry 6:
# BaFeAu2
Simulated powder XRD pattern, Cu Kα (λ = 1.5418 Å). Input: a cell relaxed with PBE.
Intensities are scaled so that the largest is 100.

Top 8 peaks for 2θ from 10° to 90°, in order of falling intensity:
2θ (°), d (Å), I/Imax, index
39.4, 2.285, 100.0, 1 1 0
30.6, 2.922, 96.4, 1 0 4
15.3, 5.778, 69.6, 0 0 3
51.0, 1.792, 40.9, 1 1 6
42.5, 2.125, 34.8, 1 1 3
34.4, 2.608, 33.0, 0 1 5
23.1, 3.858, 30.9, 1 0 1
31.0, 2.889, 27.6, 0 0 6

Structural model:
```
data_BaFeAu2
_cell_length_a 4.5699
_cell_length_b 4.5699
_cell_length_c 17.3327
_cell_angle_alpha 90.00
_cell_angle_beta 90.00
_cell_angle_gamma 120.00
_symmetry_space_group_name_H-M 'R 3 m'
_symmetry_Int_Tables_number 160
_symmetry_space_group_name_Hall 'R 3 -2"'
loop_
_atom_site_label
_atom_site_type_symbol
_atom_site_fract_x
_atom_site_fract_y
_atom_site_fract_z
Ba1 Ba 0.0000 0.0000 0.0000
Fe1 Fe 0.0000 0.0000 0.1873
Au1 Au 0.0000 0.0000 0.5263
Au2 Au 0.0000 0.0000 0.8059
```


Entry 7:
# BaFeAu2
Simulated powder XRD pattern, Cu Kα (λ = 1.5418 Å). Input: a cell relaxed with PBE.
Intensities are scaled so that the largest is 100.

Top 8 peaks for 2θ from 10° to 90°, in order of falling intensity:
2θ (°), d (Å), I/Imax, index
22.8, 3.901, 100.0, 1 0 3
35.3, 2.541, 85.0, 2 0 2
17.4, 5.082, 64.0, 1 0 1
53.1, 1.723, 57.8, 2 2 4
38.2, 2.356, 54.4, 2 1 1
30.9, 2.890, 47.4, 1 0 5
25.9, 3.447, 44.8, 1 1 2
46.6, 1.951, 39.6, 2 0 6

Structural model:
```
data_BaFeAu2
_cell_length_a 5.319
_cell_length_b 5.319
_cell_length_c 17.215
_cell_angle_alpha 90.00
_cell_angle_beta 90.00
_cell_angle_gamma 90.00
_symmetry_space_group_name_H-M 'I 41/a m d'
_symmetry_Int_Tables_number 141
loop_
_symmetry_equiv_pos_as_xyz
'x,y,z'
'-x,-y,-z'
'-y+1/4,x+3/4,z+1/4'
'y+1/4,-x+3/4,-z+1/4'
'-x+1/2,-y,z+1/2'
'x+1/2,y,-z+1/2'
'y+1/4,-x+1/4,z+3/4'
'-y+1/4,x+1/4,-z+3/4'
'x,-y,-z'
'-x,y,z'
'-y+1/4,-x+1/4,-z+3/4'
'y+1/4,x+1/4,z+3/4'
'-x+1/2,y,-z+1/2'
'x+1/2,-y,z+1/2'
'y+1/4,x+3/4,-z+1/4'
'-y+1/4,-x+3/4,z+1/4'
'x+1/2,y+1/2,z+1/2'
'-x+1/2,-y+1/2,-z+1/2'
'-y+3/4,x+1/4,z+3/4'
'y+3/4,-x+1/4,-z+3/4'
'-x,-y+1/2,z'
'x,y+1/2,-z'
'y+3/4,-x+3/4,z+1/4'
'-y+3/4,x+3/4,-z+1/4'
'x+1/2,-y+1/2,-z+1/2'
'-x+1/2,y+1/2,z+1/2'
'-y+3/4,-x+3/4,-z+1/4'
'y+3/4,x+3/4,z+1/4'
'-x,y+1/2,-z'
'x,-y+1/2,z'
'y+3/4,x+1/4,-z+3/4'
'-y+3/4,-x+1/4,z+3/4'
loop_
_atom_site_label
_atom_site_type_symbol
_atom_site_fract_x
_atom_site_fract_y
_atom_site_fract_z
Ba1 Ba 0.000 0.250 0.375
Fe1 Fe 0.000 0.250 0.875
Au1 Au 0.000 0.000 0.000
```


Entry 8:
# Ba2Ga3Au
Simulated powder XRD pattern, Cu Kα (λ = 1.5418 Å). Input: a cell relaxed with PBE.
Intensities are scaled so that the largest is 100.

Top 8 peaks for 2θ from 10° to 90°, in order of falling intensity:
2θ (°), d (Å), I/Imax, index
29.0, 3.079, 100.0, 2 2 2
54.9, 1.672, 33.5, 2 4 6
39.5, 2.279, 30.4, 2 0 6
36.5, 2.465, 18.5, 0 4 0
39.7, 2.273, 15.0, 4 0 0
49.9, 1.829, 14.4, 4 2 4
65.4, 1.428, 12.9, 4 2 8
61.1, 1.517, 11.0, 2 6 2

Structural model:
```
data_Ba2Ga3Au
_cell_length_a 9.091
_cell_length_b 9.858
_cell_length_c 15.802
_cell_angle_alpha 90.00
_cell_angle_beta 90.00
_cell_angle_gamma 90.00
_symmetry_space_group_name_H-M 'F m m m'
_symmetry_Int_Tables_number 69
_symmetry_space_group_name_Hall '-F 2 2'
loop_
_atom_site_label
_atom_site_type_symbol
_atom_site_fract_x
_atom_site_fract_y
_atom_site_fract_z
Ba1 Ba 0.000 0.233 0.000
Ba2 Ba 0.250 0.250 0.250
Ga1 Ga 0.000 0.000 0.337
Ga2 Ga 0.241 0.000 0.418
Au1 Au 0.000 0.000 0.168
```